1.
Structure and theoretical X-ray diffraction stick pattern of Sr2Pd4Pb3 (the PBE geometry in Alexandria; a wavelength of 1.5418 Å).

Structure:
```
18
Lattice="3.264 -8.687 0.000 3.264 8.687 0.000 0.000 0.000 7.583" Properties=species:S:1:pos:R:3 pbc="T T T"
Sr 3.264 6.944 6.929
Sr 3.264 1.744 3.137
Sr 3.264 -1.744 4.446
Sr 3.264 -6.944 0.654
Pd 3.264 5.835 3.886
Pd 1.632 1.281 5.688
Pd 1.632 -1.281 1.896
Pd 3.264 2.852 0.095
Pd 3.264 -2.852 7.489
Pd 4.896 1.281 5.688
Pd 4.896 -1.281 1.896
Pd 3.264 -5.835 3.697
Pb 0.000 0.000 3.792
Pb 1.632 4.147 5.688
Pb 1.632 -4.147 1.896
Pb 3.264 0.000 0.000
Pb 4.896 4.147 5.688
Pb 4.896 -4.147 1.896
```

Top 6 peaks for 10 to 80 degrees two-theta, low angle first:
d = 3.475 Å, intensity 30; d = 2.844 Å, intensity 45; d = 2.473 Å, intensity 100; d = 2.301 Å, intensity 54; d = 2.166 Å, intensity 38; d = 1.427 Å, intensity 32

***

2.
Structure and theoretical X-ray diffraction stick pattern of CoPd3Se8 (the PBE geometry in Alexandria; a wavelength of 1.5418 Å).

Structure:
```
12
Lattice="6.202 0.000 0.000 -1.693 5.979 0.000 -2.241 -2.996 6.488" Properties=species:S:1:pos:R:3 pbc="T T T"
Co 0.000 0.000 0.000
Pd -1.120 -1.498 3.244
Pd 2.255 2.990 0.000
Pd 1.134 1.491 3.244
Se 0.065 2.165 1.015
Se -1.038 0.785 4.340
Se 0.983 -0.742 2.040
Se -0.175 -2.341 5.476
Se 2.443 5.324 1.012
Se 1.285 3.724 4.448
Se 3.306 2.198 2.148
Se 2.204 0.818 5.473
```

Top 6 peaks for 10 to 80 degrees two-theta, low angle first:
d = 4.952 Å, intensity 23; d = 2.713 Å, intensity 100; d = 1.969 Å, intensity 28; d = 1.966 Å, intensity 14; d = 1.873 Å, intensity 36; d = 1.542 Å, intensity 11

***

3.
Structure and theoretical X-ray diffraction stick pattern of Pr8Ni3RuI4 (the PBE geometry in Alexandria; a wavelength of 1.5418 Å).

Structure:
```
16
Lattice="7.213 -4.170 0.000 7.213 4.170 0.000 -4.808 0.000 8.181" Properties=species:S:1:pos:R:3 pbc="T T T"
Pr -0.014 0.000 5.605
Pr 3.607 2.096 5.603
Pr 6.011 2.096 2.579
Pr 2.413 0.000 2.606
Pr 7.205 0.000 5.575
Pr 3.607 -2.096 5.603
Pr 6.011 -2.096 2.579
Pr 9.632 0.000 2.576
Ni 1.203 2.085 4.091
Ni 1.203 -2.085 4.091
Ni 4.809 0.000 4.091
Ru -2.404 0.000 4.091
I 0.000 0.000 0.000
I 3.607 2.085 0.000
I 3.607 -2.085 0.000
I 7.213 0.000 0.000
```

Top 6 peaks for 10 to 80 degrees two-theta, low angle first:
d = 3.111 Å, intensity 100; d = 2.908 Å, intensity 23; d = 2.338 Å, intensity 25; d = 2.084 Å, intensity 39; d = 1.731 Å, intensity 18; d = 1.656 Å, intensity 16

***

4.
Structure and theoretical X-ray diffraction stick pattern of NpCd2Ni9 (the PBE geometry in Alexandria; a wavelength of 1.5418 Å).

Structure:
```
12
Lattice="2.436 1.406 7.941 -2.436 1.406 7.941 0.000 -2.813 7.941" Properties=species:S:1:pos:R:3 pbc="T T T"
Np 0.000 0.000 0.000
Cd 0.000 0.000 3.421
Cd 0.000 0.000 20.403
Ni -1.223 -0.706 9.915
Ni 0.000 0.000 7.952
Ni 0.000 -1.412 13.908
Ni -1.223 0.706 13.908
Ni 0.000 0.000 11.912
Ni 1.223 -0.706 9.915
Ni 0.000 1.412 9.915
Ni 0.000 0.000 15.871
Ni 1.223 0.706 13.908
```

Top 6 peaks for 10 to 80 degrees two-theta, low angle first:
d = 2.649 Å, intensity 38; d = 2.435 Å, intensity 66; d = 2.101 Å, intensity 31; d = 2.077 Å, intensity 100; d = 1.986 Å, intensity 17; d = 1.325 Å, intensity 28

***

5.
Structure and theoretical X-ray diffraction stick pattern of Ba2S6I (the PBE geometry in Alexandria; a wavelength of 1.5418 Å).

Structure:
```
9
Lattice="5.142 0.000 0.000 -2.451 5.550 0.000 -0.339 -2.869 9.580" Properties=species:S:1:pos:R:3 pbc="T T T"
Ba 0.960 -0.401 3.004
Ba 1.391 3.082 6.577
S -1.788 2.554 9.306
S -0.396 2.304 4.049
S 0.862 -0.024 6.271
S 1.490 2.705 3.309
S 2.747 0.377 5.532
S 4.140 0.126 0.274
I -1.225 2.775 0.000
```

Top 6 peaks for 10 to 80 degrees two-theta, low angle first:
d = 4.457 Å, intensity 100; d = 4.319 Å, intensity 55; d = 3.193 Å, intensity 62; d = 3.168 Å, intensity 39; d = 3.109 Å, intensity 37; d = 2.775 Å, intensity 39

***

6.
Structure and theoretical X-ray diffraction stick pattern of K2Ti8O17 (the PBE geometry in Alexandria; a wavelength of 1.5418 Å).

Structure:
```
27
Lattice="7.977 -1.901 0.000 7.977 1.901 0.000 -1.353 0.000 12.072" Properties=species:S:1:pos:R:3 pbc="T T T"
K 0.435 0.000 3.571
K 14.166 0.000 8.502
Ti 3.233 0.000 8.070
Ti 3.625 0.000 11.164
Ti 5.297 0.000 2.090
Ti 5.631 0.000 5.204
Ti 8.970 0.000 6.868
Ti 9.304 0.000 9.982
Ti 10.976 0.000 0.908
Ti 11.368 0.000 4.002
O 1.428 0.000 7.039
O 1.875 0.000 9.921
O 3.537 0.000 0.813
O 3.882 0.000 3.853
O 4.517 0.000 6.841
O 4.490 0.000 9.563
O 6.194 0.000 0.486
O 6.515 0.000 3.427
O 7.300 0.000 6.036
O 8.086 0.000 8.645
O 8.407 0.000 11.587
O 10.110 0.000 2.510
O 10.084 0.000 5.232
O 10.719 0.000 8.220
O 11.063 0.000 11.259
O 12.726 0.000 2.151
O 13.173 0.000 5.034
```

Top 6 peaks for 10 to 80 degrees two-theta, low angle first:
d = 7.927 Å, intensity 100; d = 6.993 Å, intensity 48; d = 3.086 Å, intensity 37; d = 3.038 Å, intensity 35; d = 2.931 Å, intensity 32; d = 2.679 Å, intensity 31